Entry 1:
DyTh2BeC2: computed powder XRD pattern (λ = 1.5418 Å (Cu Kα)), based on a crystal structure in Alexandria, relaxed with PBE.
No peak broadening, texture or thermal motion is included.

Main lines, sorted by position (2θ from 5° to 70°):
15.71°, intensity 22; 25.40°, intensity 19; 28.69°, intensity 49; 29.08°, intensity 17; 31.72°, intensity 14; 32.30°, intensity 30; 33.22°, intensity 100; 47.22°, intensity 22; 58.17°, intensity 34; 58.37°, intensity 21

Crystal structure
Cell: 5.543 11.282 3.689 Å, 90.00 90.00 90.00°
Positions (direct):
1 Dy 0.000 0.000 0.000
2 Dy 0.500 0.500 0.500
3 Th 0.005 0.290 0.500
4 Th 0.495 0.790 0.000
5 Th 0.505 0.210 0.000
6 Th 0.995 0.710 0.500
7 Be 0.000 0.500 0.000
8 Be 0.500 0.000 0.500
9 C 0.232 0.397 0.000
10 C 0.268 0.897 0.500
11 C 0.732 0.103 0.500
12 C 0.768 0.603 0.000

Entry 2:
Er3BeC2: computed powder XRD pattern (λ = 1.5418 Å (Cu Kα)), based on a crystal structure in Alexandria, relaxed with PBE.
No peak broadening, texture or thermal motion is included.

Main lines, sorted by position (2θ from 5° to 70°):
17.97°, intensity 36; 24.61°, intensity 16; 27.63°, intensity 26; 32.45°, intensity 64; 33.85°, intensity 100; 36.40°, intensity 67; 43.43°, intensity 18; 57.03°, intensity 36; 62.29°, intensity 17; 64.73°, intensity 18

Crystal structure
Cell: 6.534 6.534 6.534 Å, 117.77 98.45 112.78°
Positions (direct):
1 Er 0.204 0.000 0.704
2 Er 0.204 0.500 0.204
3 Er 0.289 0.039 0.250
4 Er 0.711 0.961 0.750
5 Er 0.796 0.000 0.296
6 Er 0.796 0.500 0.796
7 Be 0.315 0.565 0.750
8 Be 0.685 0.435 0.250
9 C 0.061 0.311 0.750
10 C 0.500 0.000 0.000
11 C 0.500 0.500 0.500
12 C 0.939 0.689 0.250

Entry 3:
Y2ErBeC2: computed powder XRD pattern (λ = 1.5418 Å (Cu Kα)), based on a crystal structure in Alexandria, relaxed with PBE.
No peak broadening, texture or thermal motion is included.

Main lines, sorted by position (2θ from 5° to 70°):
18.27°, intensity 24; 25.95°, intensity 34; 29.63°, intensity 58; 32.99°, intensity 42; 34.04°, intensity 100; 42.47°, intensity 25; 48.84°, intensity 21; 59.58°, intensity 20; 59.62°, intensity 19; 60.22°, intensity 18

Crystal structure
Cell: 5.426 10.879 3.618 Å, 90.00 90.00 90.00°
Positions (direct):
1 Y 0.004 0.206 0.000
2 Y 0.496 0.706 0.500
3 Y 0.504 0.294 0.500
4 Y 0.996 0.794 0.000
5 Er 0.000 0.500 0.500
6 Er 0.500 0.000 0.000
7 Be 0.000 0.000 0.500
8 Be 0.500 0.500 0.000
9 C 0.237 0.107 0.500
10 C 0.263 0.607 0.000
11 C 0.737 0.393 0.000
12 C 0.763 0.893 0.500

Entry 4:
UBeFeC: computed powder XRD pattern (λ = 1.5418 Å (Cu Kα)), based on a crystal structure in Alexandria, relaxed with PBE.
No peak broadening, texture or thermal motion is included.

Main lines, sorted by position (2θ from 5° to 70°):
10.66°, intensity 27; 27.66°, intensity 100; 32.37°, intensity 43; 33.50°, intensity 76; 36.29°, intensity 27; 37.93°, intensity 47; 42.53°, intensity 26; 60.15°, intensity 25; 62.83°, intensity 26; 63.52°, intensity 26

Crystal structure
Cell: 3.500 3.500 8.297 Å, 90.00 90.00 90.00°
Positions (direct):
1 U 0.250 0.250 0.161
2 U 0.750 0.750 0.839
3 Be 0.250 0.250 0.671
4 Be 0.750 0.750 0.329
5 Fe 0.250 0.750 0.500
6 Fe 0.750 0.250 0.500
7 C 0.250 0.250 0.880
8 C 0.750 0.750 0.120

Entry 5:
BeGa2C: computed powder XRD pattern (λ = 1.5418 Å (Cu Kα)), based on a crystal structure in Alexandria, relaxed with PBE.
No peak broadening, texture or thermal motion is included.

Main lines, sorted by position (2θ from 5° to 70°):
19.61°, intensity 20; 32.07°, intensity 100; 32.71°, intensity 29; 38.42°, intensity 24; 45.04°, intensity 9; 46.94°, intensity 12; 50.45°, intensity 11; 56.77°, intensity 19; 57.98°, intensity 17; 62.21°, intensity 12

Crystal structure
Cell: 5.475 5.475 8.052 Å, 90.00 90.00 90.00°
Positions (direct):
1 Be 0.000 0.000 0.000
2 Be 0.000 0.500 0.250
3 Be 0.500 0.000 0.750
4 Be 0.500 0.500 0.500
5 Ga 0.185 0.250 0.625
6 Ga 0.250 0.685 0.875
7 Ga 0.250 0.815 0.375
8 Ga 0.315 0.250 0.125
9 Ga 0.685 0.750 0.125
10 Ga 0.750 0.185 0.375
11 Ga 0.750 0.315 0.875
12 Ga 0.815 0.750 0.625
13 C 0.000 0.000 0.500
14 C 0.000 0.500 0.750
15 C 0.500 0.000 0.250
16 C 0.500 0.500 0.000

Entry 6:
Zr2BeGaC: computed powder XRD pattern (λ = 1.5418 Å (Cu Kα)), based on a crystal structure in Alexandria, relaxed with PBE.
No peak broadening, texture or thermal motion is included.

Main lines, sorted by position (2θ from 5° to 70°):
28.67°, intensity 26; 30.21°, intensity 24; 31.02°, intensity 59; 35.96°, intensity 100; 37.13°, intensity 24; 40.59°, intensity 15; 40.81°, intensity 16; 42.36°, intensity 17; 42.53°, intensity 18; 53.15°, intensity 18

Crystal structure
Cell: 6.062 3.446 7.637 Å, 90.00 108.00 90.00°
Positions (direct):
1 Zr 0.207 0.250 0.385
2 Zr 0.214 0.250 0.971
3 Zr 0.786 0.750 0.029
4 Zr 0.793 0.750 0.615
5 Be 0.459 0.750 0.245
6 Be 0.541 0.250 0.755
7 Ga 0.293 0.750 0.695
8 Ga 0.707 0.250 0.305
9 C 0.168 0.750 0.169
10 C 0.832 0.250 0.831

Entry 7:
Ho2BeGeC: computed powder XRD pattern (λ = 1.5418 Å (Cu Kα)), based on a crystal structure in Alexandria, relaxed with PBE.
No peak broadening, texture or thermal motion is included.

Main lines, sorted by position (2θ from 5° to 70°):
26.72°, intensity 19; 28.20°, intensity 56; 29.67°, intensity 48; 31.61°, intensity 22; 31.80°, intensity 27; 33.86°, intensity 100; 35.67°, intensity 20; 38.46°, intensity 22; 48.97°, intensity 20; 50.78°, intensity 15

Crystal structure
Cell: 6.330 3.720 7.937 Å, 90.00 107.94 90.00°
Positions (direct):
1 Ho 0.199 0.250 0.386
2 Ho 0.215 0.250 0.966
3 Ho 0.785 0.750 0.034
4 Ho 0.801 0.750 0.614
5 Be 0.454 0.750 0.246
6 Be 0.546 0.250 0.754
7 Ge 0.323 0.750 0.700
8 Ge 0.677 0.250 0.300
9 C 0.174 0.750 0.174
10 C 0.826 0.250 0.826

Entry 8:
Hf2BePbC: computed powder XRD pattern (λ = 1.5418 Å (Cu Kα)), based on a crystal structure in Alexandria, relaxed with PBE.
No peak broadening, texture or thermal motion is included.

Main lines, sorted by position (2θ from 5° to 70°):
18.92°, intensity 26; 28.18°, intensity 18; 34.16°, intensity 100; 38.38°, intensity 38; 42.10°, intensity 15; 43.12°, intensity 7; 48.28°, intensity 9; 55.40°, intensity 13; 58.27°, intensity 23; 66.71°, intensity 29

Crystal structure
Cell: 4.691 4.691 4.292 Å, 90.00 90.00 90.00°
Positions (direct):
1 Hf 0.000 0.500 0.000
2 Hf 0.500 0.000 0.000
3 Be 0.000 0.000 0.000
4 Pb 0.000 0.000 0.500
5 C 0.500 0.500 0.500

Entry 9:
Be2HgC: computed powder XRD pattern (λ = 1.5418 Å (Cu Kα)), based on a crystal structure in Alexandria, relaxed with PBE.
No peak broadening, texture or thermal motion is included.

Main lines, sorted by position (2θ from 5° to 70°):
19.71°, intensity 77; 32.46°, intensity 100; 38.26°, intensity 57; 46.56°, intensity 16; 51.02°, intensity 22; 57.90°, intensity 38; 61.78°, intensity 20; 67.96°, intensity 13

Crystal structure
Cell: 5.519 5.519 7.796 Å, 90.00 90.00 90.00°
Positions (direct):
1 Be 0.000 0.000 0.000
2 Be 0.000 0.500 0.000
3 Be 0.250 0.250 0.750
4 Be 0.250 0.750 0.250
5 Be 0.500 0.000 0.500
6 Be 0.500 0.500 0.500
7 Be 0.750 0.250 0.750
8 Be 0.750 0.750 0.250
9 Hg 0.000 0.250 0.375
10 Hg 0.000 0.750 0.625
11 Hg 0.500 0.250 0.125
12 Hg 0.500 0.750 0.875
13 C 0.000 0.250 0.875
14 C 0.000 0.750 0.125
15 C 0.500 0.250 0.625
16 C 0.500 0.750 0.375

Entry 10:
Ho2BeC2: computed powder XRD pattern (λ = 1.5418 Å (Cu Kα)), based on a crystal structure in Alexandria, relaxed with PBE.
No peak broadening, texture or thermal motion is included.

Main lines, sorted by position (2θ from 5° to 70°):
24.08°, intensity 20; 24.49°, intensity 30; 30.26°, intensity 100; 31.07°, intensity 34; 32.85°, intensity 29; 34.11°, intensity 16; 35.43°, intensity 39; 40.09°, intensity 20; 54.56°, intensity 16; 60.44°, intensity 16

Crystal structure
Cell: 6.996 5.067 8.509 Å, 90.00 90.00 90.00°
Positions (direct):
1 Ho 0.022 0.250 0.157
2 Ho 0.137 0.250 0.593
3 Ho 0.363 0.750 0.093
4 Ho 0.478 0.750 0.657
5 Ho 0.522 0.250 0.343
6 Ho 0.637 0.250 0.907
7 Ho 0.863 0.750 0.407
8 Ho 0.978 0.750 0.843
9 Be 0.234 0.250 0.904
10 Be 0.266 0.750 0.404
11 Be 0.734 0.250 0.596
12 Be 0.766 0.750 0.096
13 C 0.005 0.750 0.152
14 C 0.146 0.750 0.580
15 C 0.354 0.250 0.080
16 C 0.495 0.250 0.652
17 C 0.505 0.750 0.348
18 C 0.646 0.750 0.920
19 C 0.854 0.250 0.420
20 C 0.995 0.250 0.848

Entry 11:
LaBeC2: computed powder XRD pattern (λ = 1.5418 Å (Cu Kα)), based on a crystal structure in Alexandria, relaxed with PBE.
No peak broadening, texture or thermal motion is included.

Main lines, sorted by position (2θ from 5° to 70°):
22.76°, intensity 87; 30.21°, intensity 25; 31.32°, intensity 66; 34.18°, intensity 100; 43.73°, intensity 25; 44.08°, intensity 25; 49.86°, intensity 35; 54.07°, intensity 27; 54.77°, intensity 18; 56.24°, intensity 24

Crystal structure
Cell: 4.140 4.140 11.833 Å, 90.00 90.00 90.00°
Positions (direct):
1 La 0.000 0.250 0.375
2 La 0.000 0.750 0.625
3 La 0.500 0.250 0.125
4 La 0.500 0.750 0.875
5 Be 0.000 0.250 0.875
6 Be 0.000 0.750 0.125
7 Be 0.500 0.250 0.625
8 Be 0.500 0.750 0.375
9 C 0.000 0.000 0.000
10 C 0.000 0.500 0.000
11 C 0.250 0.250 0.750
12 C 0.250 0.750 0.250
13 C 0.500 0.000 0.500
14 C 0.500 0.500 0.500
15 C 0.750 0.250 0.750
16 C 0.750 0.750 0.250